Entry 1:
K4Ti3S14: calculated powder XRD pattern (Cu Kα), based on the PBE geometry in Alexandria.
Kinematic intensities with the Lorentz-polarization factor, no thermal factor.

Cell and atoms:
abc: 21.3904 8.0905 13.2875
angles: 90.00 113.42 90.00
Space group C2/c (No. 15)
Symmetry-distinct sites (fractional):
1 K 0.0740 0.2392 0.1464 x8
2 K 0.1982 0.3204 0.6091 x8
3 Ti 0.0000 0.2651 0.7500 x4
4 Ti 0.1675 0.2557 0.9158 x8
5 S 0.0369 0.3464 0.6031 x8
6 S 0.0700 0.0898 0.9183 x8
7 S 0.0864 0.4874 0.8682 x8
8 S 0.0944 0.1621 0.7084 x8
9 S 0.1467 0.0455 0.3979 x8
10 S 0.1724 0.4815 0.3342 x8
11 S 0.2219 0.2921 0.1023 x8

Top 10 peaks for 2θ from 5° to 70°, low angle first:
Position (°2θ)	Rel. int.	index
12.91	100	1 1 -1
13.72	43	2 0 -2
21.97	11	0 2 0
25.25	28	6 0 -2
29.30	33	0 0 4
29.86	53	2 2 2
33.38	12	1 1 4
35.96	16	1 3 -2
39.43	12	3 3 -3
40.60	22	1 1 5

Entry 2:
K6TiS4: calculated powder XRD pattern (Cu Kα), based on the PBE geometry in Alexandria.
Kinematic intensities with the Lorentz-polarization factor, no thermal factor.

Cell and atoms:
abc: 10.2063 10.2063 7.6951
angles: 90.00 90.00 120.00
Space group P6_3mc (No. 186)
Symmetry-distinct sites (fractional):
1 K 0.0635 0.5318 0.0000 x6
2 K 0.1336 0.2673 0.6802 x6
3 Ti 0.3333 0.6667 0.3961 x2
4 S 0.2067 0.4134 0.2944 x6
5 S 0.3333 0.6667 0.7059 x2

Top 10 peaks for 2θ from 5° to 70°, low angle first:
Position (°2θ)	Rel. int.	index
10.01	36	1 0 0
15.27	22	1 0 1
25.24	27	1 0 2
29.14	100	2 1 1
30.81	73	2 0 2
32.54	56	3 0 1
35.17	51	2 2 0
36.47	23	1 0 3
53.16	20	5 0 1
57.98	19	3 2 3

Entry 3:
K2Ti2S5: calculated powder XRD pattern (Cu Kα), based on the PBE geometry in Alexandria.
Kinematic intensities with the Lorentz-polarization factor, no thermal factor.

Cell and atoms:
abc: 6.4076 11.5312 15.7927
angles: 90.00 90.00 90.00
Space group Fmmm (No. 69)
Symmetry-distinct sites (fractional):
1 K 0.0000 0.0000 0.1323 x8
2 Ti 0.0000 0.1972 0.5000 x8
3 S 0.0000 0.0000 0.5000 x4
4 S 0.2500 0.2500 0.1042 x16

Top 10 peaks for 2θ from 5° to 70°, low angle first:
Position (°2θ)	Rel. int.	index
11.21	100	0 0 2
15.37	18	0 2 0
19.06	16	0 2 2
23.19	48	1 1 3
27.65	18	1 3 1
31.02	24	0 4 0
31.96	18	2 2 0
32.55	13	1 1 5
39.45	35	2 2 4
45.20	15	1 5 3

Entry 4:
K2TiZnS4: calculated powder XRD pattern (Cu Kα), based on the PBE geometry in Alexandria.
Kinematic intensities with the Lorentz-polarization factor, no thermal factor.

Cell and atoms:
abc: 9.7646 9.2321 6.9075
angles: 90.00 134.97 90.00
Space group C2 (No. 5)
Symmetry-distinct sites (fractional):
1 K 0.0000 0.0000 0.0000 x2
2 K 0.0000 0.2500 0.5000 x2
3 Ti 0.0000 0.5005 0.0000 x2
4 Zn 0.0000 0.7505 0.5000 x2
5 S 0.1488 0.6280 0.9085 x4
6 S 0.2403 0.3733 0.3891 x4

Top 10 peaks for 2θ from 5° to 70°, low angle first:
Position (°2θ)	Rel. int.	index
16.02	30	1 1 0
25.79	13	2 0 0
26.57	100	2 2 -1
30.51	12	1 1 -2
36.80	22	0 0 2
41.37	8	4 0 -1
45.96	32	2 2 -3
47.37	29	2 4 0
48.53	8	5 1 -2
59.88	9	2 0 2

Entry 5:
K4Zr3TiS8: calculated powder XRD pattern (Cu Kα), based on the PBE geometry in Alexandria.
Kinematic intensities with the Lorentz-polarization factor, no thermal factor.

Cell and atoms:
abc: 7.4768 7.4768 22.3043
angles: 90.00 90.00 120.00
Space group R-3m (No. 166, hexagonal axes)
Symmetry-distinct sites (fractional):
1 K 0.0000 0.0000 0.0000 x3
2 K 0.0000 0.5000 0.0000 x9
3 Zr 0.0000 0.5000 0.5000 x9
4 Ti 0.0000 0.0000 0.5000 x3
5 S 0.0000 0.0000 0.2343 x6
6 S 0.0070 0.5035 0.2324 x18

Top 10 peaks for 2θ from 5° to 70°, low angle first:
Position (°2θ)	Rel. int.	index
11.90	42	0 0 3
23.94	10	0 0 6
28.71	13	2 0 2
31.97	100	0 2 4
39.69	12	0 2 7
42.80	35	2 0 8
48.72	30	2 2 0
49.63	7	0 2 10
59.46	15	4 0 4
66.83	8	0 4 8

Entry 6:
K2ZrTiS5: calculated powder XRD pattern (Cu Kα), based on the PBE geometry in Alexandria.
Kinematic intensities with the Lorentz-polarization factor, no thermal factor.

Cell and atoms:
abc: 3.8939 18.5180 13.6390
angles: 90.00 90.00 90.00
Space group Cmc2_1 (No. 36)
Symmetry-distinct sites (fractional):
1 K 0.0000 0.1220 0.0000 x4
2 K 0.0000 0.1289 0.6460 x4
3 Zr 0.0000 0.2119 0.3556 x4
4 Ti 0.0000 0.4309 0.7525 x4
5 S 0.0000 0.0541 0.3461 x4
6 S 0.0000 0.3000 0.9740 x4
7 S 0.0000 0.3108 0.7148 x4
8 S 0.0000 0.3368 0.3252 x4
9 S 0.0000 0.4900 0.6159 x4

Top 10 peaks for 2θ from 5° to 70°, low angle first:
Position (°2θ)	Rel. int.	index
9.55	25	0 2 0
11.55	38	0 2 1
12.98	38	0 0 2
16.14	44	0 2 2
27.87	19	1 3 1
29.68	51	0 6 1
30.61	100	1 1 3
35.96	25	1 5 2
46.65	20	2 0 0
49.49	27	1 7 4

Entry 7:
KTlS2: calculated powder XRD pattern (Cu Kα), based on the PBE geometry in Alexandria.
Kinematic intensities with the Lorentz-polarization factor, no thermal factor.

Cell and atoms:
abc: 6.1353 6.5305 6.5589
angles: 96.73 107.44 96.05
Space group P-1 (No. 2)
Symmetry-distinct sites (fractional):
1 K 0.2210 0.2020 0.4099 x2
2 Tl 0.3074 0.7007 0.9817 x2
3 S 0.0860 0.2547 0.8485 x2
4 S 0.2138 0.7051 0.3979 x2

Top 10 peaks for 2θ from 5° to 70°, low angle first:
Position (°2θ)	Rel. int.	index
14.33	100	0 0 1
19.07	39	1 -1 0
22.18	67	1 1 0
22.27	45	1 1 -1
25.52	43	1 -1 1
27.82	63	0 2 0
28.11	36	1 0 -2
28.89	37	0 0 2
30.16	38	1 1 1
37.10	42	0 2 -2

Entry 8:
KTlS5: calculated powder XRD pattern (Cu Kα), based on the PBE geometry in Alexandria.
Kinematic intensities with the Lorentz-polarization factor, no thermal factor.

Cell and atoms:
abc: 6.9143 7.5951 9.3320
angles: 106.61 101.33 101.76
Space group P-1 (No. 2)
Symmetry-distinct sites (fractional):
1 K 0.0000 0.0000 0.0000 x1
2 K 0.0000 0.5000 0.5000 x1
3 Tl 0.4545 0.1023 0.7222 x2
4 S 0.0665 0.9256 0.4148 x2
5 S 0.1460 0.4886 0.1674 x2
6 S 0.1483 0.5162 0.8670 x2
7 S 0.2654 0.1497 0.3922 x2
8 S 0.3361 0.7805 0.9106 x2

Top 10 peaks for 2θ from 5° to 70°, low angle first:
Position (°2θ)	Rel. int.	index
12.66	100	0 1 0
13.33	93	0 1 -1
15.82	63	1 -1 0
19.23	52	-1 1 1
21.05	58	1 1 0
24.00	39	0 2 -1
25.41	39	1 -2 1
27.61	68	-2 1 1
27.78	78	1 0 2
29.35	93	0 1 -3

Entry 9:
KTlS2: calculated powder XRD pattern (Cu Kα), based on the PBE geometry in Alexandria.
Kinematic intensities with the Lorentz-polarization factor, no thermal factor.

Cell and atoms:
abc: 6.2630 5.9130 7.5767
angles: 90.00 105.69 90.00
Space group P2_1 (No. 4)
Symmetry-distinct sites (fractional):
1 K 0.2088 0.0000 0.4580 x2
2 Tl 0.2894 0.7589 0.9818 x2
3 S 0.2330 0.2771 0.8299 x2
4 S 0.3252 0.5005 0.6442 x2

Top 10 peaks for 2θ from 5° to 70°, low angle first:
Position (°2θ)	Rel. int.	index
12.13	100	0 0 1
16.34	32	1 0 -1
21.04	65	1 1 0
22.24	63	1 1 -1
24.41	38	0 0 2
26.32	52	1 1 1
29.17	46	1 1 -2
29.63	40	2 0 0
32.68	73	0 2 1
35.44	37	1 1 2

Entry 10:
KTlS2: calculated powder XRD pattern (Cu Kα), based on the PBE geometry in Alexandria.
Kinematic intensities with the Lorentz-polarization factor, no thermal factor.

Cell and atoms:
abc: 14.8163 4.3348 8.2497
angles: 90.00 105.23 90.00
Space group Cm (No. 8)
Symmetry-distinct sites (fractional):
1 K 0.0000 0.0000 0.0000 x2
2 K 0.2347 0.0000 0.7309 x2
3 Tl 0.2589 0.5000 0.1407 x2
4 Tl 0.4863 0.0000 0.5020 x2
5 S 0.1239 0.5000 0.8864 x2
6 S 0.2369 0.5000 0.4428 x2
7 S 0.3689 0.0000 0.1447 x2
8 S 0.3717 0.5000 0.6001 x2

Top 10 peaks for 2θ from 5° to 70°, low angle first:
Position (°2θ)	Rel. int.	index
14.31	98	2 0 -1
21.42	46	1 1 0
22.34	26	0 0 2
24.94	100	4 0 0
27.82	26	3 1 0
28.10	92	3 1 -1
28.39	37	2 0 2
29.93	38	1 1 -2
40.10	26	3 1 -3
41.82	55	5 1 1

Entry 11:
KTlS6: calculated powder XRD pattern (Cu Kα), based on the PBE geometry in Alexandria.
Kinematic intensities with the Lorentz-polarization factor, no thermal factor.

Cell and atoms:
abc: 5.9540 5.9990 7.4931
angles: 86.55 86.26 84.50
Space group P-1 (No. 2)
Symmetry-distinct sites (fractional):
1 K 0.0000 0.0000 0.0000 x1
2 Tl 0.5000 0.5000 0.0000 x1
3 S 0.0663 0.4736 0.7739 x2
4 S 0.2883 0.2865 0.6171 x2
5 S 0.4760 0.0664 0.7731 x2

Top 10 peaks for 2θ from 5° to 70°, low angle first:
Position (°2θ)	Rel. int.	index
11.85	100	0 0 1
14.86	44	0 1 0
14.98	44	1 0 0
19.55	41	0 1 -1
19.70	39	1 0 -1
24.30	48	1 1 -1
27.48	29	0 1 2
30.01	61	1 1 2
32.70	51	1 -1 2
32.81	27	-1 1 2

Entry 12:
KTl3S8: calculated powder XRD pattern (Cu Kα), based on the PBE geometry in Alexandria.
Kinematic intensities with the Lorentz-polarization factor, no thermal factor.

Cell and atoms:
abc: 11.5256 11.8131 10.5639
angles: 90.00 90.00 90.00
Space group Fmm2 (No. 42)
Symmetry-distinct sites (fractional):
1 K 0.0000 0.0000 0.0000 x4
2 Tl 0.0000 0.0000 0.5086 x4
3 Tl 0.2500 0.2500 0.2194 x8
4 S 0.0000 0.2127 0.4166 x8
5 S 0.0000 0.2234 0.2262 x8
6 S 0.2155 0.0000 0.6092 x8
7 S 0.2257 0.0000 0.8022 x8

Top 10 peaks for 2θ from 5° to 70°, low angle first:
Position (°2θ)	Rel. int.	index
13.62	48	1 1 1
21.54	38	2 2 0
22.58	89	0 2 2
22.84	100	2 0 2
30.26	45	0 4 0
31.04	43	4 0 0
38.25	52	2 4 2
38.72	46	4 2 2
40.56	37	2 2 4
43.90	29	4 4 0